The following is a computed XRD peak list of NaFe6H12S4O29. It was derived from a PBE+U-relaxed structure, using Cu Kα, 1.54184 Å.
Neutral-atom scattering factors, no anomalous dispersion.

Cell and atoms:
```
data_NaFe6H12S4O29
_chemical_formula_sum 'Na1 Fe6 H12 S4 O29'
_cell_length_a 7.015
_cell_length_b 7.396
_cell_length_c 10.246
_cell_angle_alpha 90.00
_cell_angle_beta 93.49
_cell_angle_gamma 90.00
_symmetry_space_group_name_H-M 'P 1 2/m 1'
_symmetry_Int_Tables_number 10
loop_
_symmetry_equiv_pos_as_xyz
'x,y,z'
'-x,-y,-z'
'-x,y,-z'
'x,-y,z'
loop_
_atom_site_label
_atom_site_fract_x
_atom_site_fract_y
_atom_site_fract_z
_atom_site_occupancy
Na1 0.000 0.000 0.000 1
Fe1 0.000 0.500 0.500 1
Fe2 0.259 0.249 0.251 1
Fe3 0.500 0.000 0.000 1
H1 0.029 0.000 0.310 1
H2 0.193 0.207 0.492 1
H3 0.325 0.291 0.010 1
H4 0.495 0.500 0.203 1
S1 0.112 0.500 0.812 1
S2 0.368 0.000 0.692 1
O1 0.002 0.335 0.161 1
O2 0.145 0.000 0.260 1
O3 0.162 0.500 0.673 1
O4 0.170 0.308 0.429 1
O5 0.199 0.000 0.598 1
O6 0.289 0.500 0.898 1
O7 0.307 0.000 0.828 1
O8 0.334 0.185 0.068 1
O9 0.365 0.500 0.234 1
O10 0.485 0.165 0.668 1
O11 0.500 0.500 0.500 1
```

Main lines, sorted by position (2θ from 10° to 90°):
2θ (°), I/Imax
15.77, 34
17.41, 88
28.42, 100
28.87, 69
29.08, 33
39.92, 24
45.56, 23
49.43, 27